Computed PXRD pattern
Compound: BaB2O9
Radiation: Cu Kα (weighted mean of Kα1 and Kα2)
Structure: a cell relaxed with PBE

```
data_BaB2O9
_space_group_name_H-M_alt 'P 1 21/c 1'
_space_group_IT_number 14
_space_group_name_Hall '-P 2ybc'
_cell_length_a 6.4688
_cell_length_b 9.3179
_cell_length_c 13.2652
_cell_angle_alpha 90.00
_cell_angle_beta 98.34
_cell_angle_gamma 90.00
loop_
_atom_site_label
_atom_site_type_symbol
_atom_site_fract_x
_atom_site_fract_y
_atom_site_fract_z
Ba1 Ba 0.1238 0.0183 0.2031
B1 B 0.1419 0.1447 0.6322
B2 B 0.2499 0.7154 0.5087
O1 O 0.0046 0.5434 0.9086
O2 O 0.0780 0.7072 0.5682
O3 O 0.1244 0.1869 0.7309
O4 O 0.1925 0.6164 0.4285
O5 O 0.3021 0.2148 0.5991
O6 O 0.3126 0.6435 0.9844
O7 O 0.3281 0.6718 0.2485
O8 O 0.3900 0.6279 0.5809
O9 O 0.4344 0.5962 0.2002
```

Most intense lines, 15 to 90 degrees two-theta, sorted by position:
- 2θ 17.4, d 5.111, intensity 952
- 2θ 20.7, d 4.282, intensity 1000
- 2θ 22.5, d 3.960, intensity 512
- 2θ 23.4, d 3.799, intensity 843
- 2θ 23.6, d 3.767, intensity 546
- 2θ 24.8, d 3.585, intensity 832
- 2θ 31.2, d 2.864, intensity 625
- 2θ 32.4, d 2.767, intensity 647
- 2θ 35.5, d 2.530, intensity 557
- 2θ 37.1, d 2.426, intensity 509


Computed PXRD pattern
Compound: Eu5Sb3
Radiation: Cu Kα (weighted mean of Kα1 and Kα2)
Structure: a cell relaxed with PBE

```
data_Eu5Sb3
_space_group_name_H-M_alt 'P 63/m c m'
_space_group_IT_number 193
_space_group_name_Hall '-P 6c 2'
_cell_length_a 9.3632
_cell_length_b 9.3632
_cell_length_c 7.0729
_cell_angle_alpha 90.00
_cell_angle_beta 90.00
_cell_angle_gamma 120.00
loop_
_atom_site_label
_atom_site_type_symbol
_atom_site_fract_x
_atom_site_fract_y
_atom_site_fract_z
Eu1 Eu 0.0000 0.2539 0.2500
Eu2 Eu 0.3333 0.6667 0.0000
Sb1 Sb 0.0000 0.3895 0.7500
```

Most intense lines, 15 to 90 degrees two-theta, sorted by position:
- 2θ 25.2, d 3.536, intensity 202
- 2θ 27.5, d 3.242, intensity 196
- 2θ 29.1, d 3.065, intensity 300
- 2θ 31.7, d 2.822, intensity 1000
- 2θ 31.8, d 2.812, intensity 988
- 2θ 33.1, d 2.703, intensity 582
- 2θ 46.5, d 1.952, intensity 242
- 2θ 48.7, d 1.869, intensity 298
- 2θ 51.7, d 1.769, intensity 209
- 2θ 62.8, d 1.480, intensity 182


Computed PXRD pattern
Compound: Cs2LiMoBr6
Radiation: Cu Kα (weighted mean of Kα1 and Kα2)
Structure: a cell relaxed with PBE

```
data_Cs2LiMoBr6
_space_group_name_H-M_alt 'F m -3 m'
_space_group_IT_number 225
_space_group_name_Hall '-F 4 2 3'
_cell_length_a 10.9339
_cell_length_b 10.9339
_cell_length_c 10.9339
_cell_angle_alpha 90.00
_cell_angle_beta 90.00
_cell_angle_gamma 90.00
loop_
_atom_site_label
_atom_site_type_symbol
_atom_site_fract_x
_atom_site_fract_y
_atom_site_fract_z
Cs1 Cs 0.2500 0.2500 0.2500
Li1 Li 0.0000 0.0000 0.0000
Mo1 Mo 0.0000 0.0000 0.5000
Br1 Br 0.0000 0.0000 0.2594
```

Most intense lines, 15 to 90 degrees two-theta, sorted by position:
- 2θ 23.0, d 3.866, intensity 242
- 2θ 28.3, d 3.156, intensity 1000
- 2θ 32.8, d 2.733, intensity 879
- 2θ 40.4, d 2.232, intensity 104
- 2θ 47.0, d 1.933, intensity 617
- 2θ 55.8, d 1.648, intensity 419
- 2θ 58.5, d 1.578, intensity 210
- 2θ 75.9, d 1.254, intensity 165
- 2θ 78.2, d 1.222, intensity 267
- 2θ 87.4, d 1.116, intensity 206